# Ba2NiF8
Simulated powder XRD pattern, Cu Kα (λ = 1.5418 Å). Input: a crystal structure in Alexandria, relaxed with GGA+U.
Lines closer than 0.1° are merged.

Main lines, in order of rising 2θ (2θ = 5–70°):
(0 1 1), 25.18 deg, d 3.537, intensity 100
(0 1 -2), 25.99 deg, d 3.429, intensity 53
(1 0 1), 26.26 deg, d 3.394, intensity 44
(1 0 -2), 26.61 deg, d 3.350, intensity 43
(1 1 -1), 27.01 deg, d 3.301, intensity 41
(0 2 -1), 36.02 deg, d 2.493, intensity 25
(0 0 3), 37.03 deg, d 2.428, intensity 15
(2 0 -1), 38.42 deg, d 2.343, intensity 33
(1 -2 2), 44.41 deg, d 2.040, intensity 24
(-1 1 3), 45.02 deg, d 2.013, intensity 22
(1 -1 3), 45.57 deg, d 1.991, intensity 31
(1 1 2), 45.76 deg, d 1.983, intensity 24

Structure:
a = 4.6980 Å, b = 5.0038 Å, c = 7.9134 Å
α = 105.58°, β = 105.33°, γ = 94.04°
Space group P-1 (No. 2)
Asymmetric unit:
Ba 0.1773 0.1552 0.3197 x2
Ni 0.5000 0.5000 0.0000 x1
F 0.1129 0.3033 0.9899 x2
F 0.2248 0.7227 0.4754 x2
F 0.3489 0.7338 0.8591 x2
F 0.4605 0.2281 0.7734 x2